This entry pairs a crystal structure of ErSc2Al3Cu2Ni with its simulated XRD peak list. Radiation: Cu Kα (weighted mean of Kα1 and Kα2). Structure: DFT lattice parameters and positions (PBE).
Lines closer than 0.1° are merged.

Top 8 peaks for 2θ from 10° to 90°, most intense first:
| Position (°2θ) | intensity | (hkl) |
| --- | --- | --- |
| 38.53 | 1000 | 1 4 0 |
| 35.28 | 903 | 1 3 1 |
| 14.99 | 579 | 0 1 1 |
| 40.37 | 366 | 0 4 2 |
| 27.83 | 355 | 1 2 0 |
| 47.13 | 330 | 1 4 2 |
| 26.10 | 324 | 0 0 2 |
| 46.09 | 311 | 0 6 0 |

```
data_ErSc2Al3Cu2Ni
_chemical_formula_sum 'Er2 Sc4 Al6 Cu4 Ni2'
_cell_length_a 3.8167
_cell_length_b 11.8058
_cell_length_c 6.8323
_cell_angle_alpha 90.00
_cell_angle_beta 90.00
_cell_angle_gamma 90.00
_space_group_name_H-M_alt 'A m m 2'
_space_group_IT_number 38
_space_group_name_Hall 'A 2 -2'
loop_
_atom_site_label
_atom_site_type_symbol
_atom_site_fract_x
_atom_site_fract_y
_atom_site_fract_z
Er1 Er 0.0000 0.0000 0.0000
Sc1 Sc 0.0000 0.2044 0.6154
Al1 Al 0.5000 0.0000 0.6482
Al2 Al 0.5000 0.1213 0.2955
Cu1 Cu 0.5000 0.1705 0.9106
Ni1 Ni 0.0000 0.0000 0.4178
```

This entry pairs a crystal structure of Er2TmAl3Cu2Ni with its simulated XRD peak list. Radiation: Cu Kα (weighted mean of Kα1 and Kα2). Structure: DFT lattice parameters and positions (PBE).
Lines closer than 0.1° are merged.

Top 8 peaks for 2θ from 10° to 90°, most intense first:
| Position (°2θ) | intensity | (hkl) |
| --- | --- | --- |
| 34.34 | 1000 | 1 3 1 |
| 37.57 | 829 | 1 4 0 |
| 25.75 | 387 | 0 3 1 |
| 60.36 | 322 | 1 5 3 |
| 39.81 | 281 | 0 1 3 |
| 22.32 | 273 | 1 0 0 |
| 29.82 | 270 | 0 2 2 |
| 55.28 | 226 | 0 7 1 |

```
data_Er2TmAl3Cu2Ni
_chemical_formula_sum 'Er4 Tm2 Al6 Cu4 Ni2'
_cell_length_a 3.9822
_cell_length_b 11.9857
_cell_length_c 6.9170
_cell_angle_alpha 90.00
_cell_angle_beta 90.00
_cell_angle_gamma 90.00
_space_group_name_H-M_alt 'A m m 2'
_space_group_IT_number 38
_space_group_name_Hall 'A 2 -2'
loop_
_atom_site_label
_atom_site_type_symbol
_atom_site_fract_x
_atom_site_fract_y
_atom_site_fract_z
Er1 Er 0.0000 0.2054 0.0000
Tm1 Tm 0.0000 0.0000 0.3843
Al1 Al 0.5000 0.0000 0.0283
Al2 Al 0.5000 0.1164 0.6768
Cu1 Cu 0.5000 0.1654 0.2947
Ni1 Ni 0.0000 0.0000 0.7925
```

This entry pairs a crystal structure of PrEr2Al7Cu2 with its simulated XRD peak list. Radiation: Cu Kα (weighted mean of Kα1 and Kα2). Structure: DFT lattice parameters and positions (PBE).
Lines closer than 0.1° are merged.

Top 8 peaks for 2θ from 10° to 90°, most intense first:
| Position (°2θ) | intensity | (hkl) |
| --- | --- | --- |
| 38.99 | 1000 | 1 1 6 |
| 32.55 | 893 | 1 1 0 |
| 30.88 | 515 | 1 0 7 |
| 18.95 | 400 | 1 0 1 |
| 33.81 | 314 | 0 1 8 |
| 20.88 | 305 | 0 0 6 |
| 64.36 | 269 | 2 0 14 |
| 37.94 | 266 | 0 2 1 |

```
data_PrEr2Al7Cu2
_chemical_formula_sum 'Pr3 Er6 Al21 Cu6'
_cell_length_a 5.5009
_cell_length_b 5.5009
_cell_length_c 25.5280
_cell_angle_alpha 90.00
_cell_angle_beta 90.00
_cell_angle_gamma 120.00
_space_group_name_H-M_alt 'R -3 m'
_space_group_IT_number 166
_space_group_name_Hall '-R 3 2"'
loop_
_atom_site_label
_atom_site_type_symbol
_atom_site_fract_x
_atom_site_fract_y
_atom_site_fract_z
Pr1 Pr 0.0000 0.0000 0.0000
Er1 Er 0.0000 0.0000 0.1421
Al1 Al 0.0000 0.0000 0.5000
Al2 Al 0.0063 0.5031 0.9202
Cu1 Cu 0.0000 0.0000 0.3353
```

This entry pairs a crystal structure of Er2ScAl3CuSn2 with its simulated XRD peak list. Radiation: Cu Kα (weighted mean of Kα1 and Kα2). Structure: DFT lattice parameters and positions (PBE).
Lines closer than 0.1° are merged.

Top 8 peaks for 2θ from 10° to 90°, most intense first:
| Position (°2θ) | intensity | (hkl) |
| --- | --- | --- |
| 32.92 | 1000 | 1 3 1 |
| 35.78 | 669 | 1 2 2 |
| 32.58 | 623 | 1 0 2 |
| 24.90 | 457 | 0 3 1 |
| 43.32 | 406 | 0 3 3 |
| 14.39 | 352 | 0 2 0 |
| 43.15 | 342 | 2 0 0 |
| 25.56 | 308 | 1 1 1 |

```
data_Er2ScAl3CuSn2
_chemical_formula_sum 'Er4 Sc2 Al6 Cu2 Sn4'
_cell_length_a 4.1928
_cell_length_b 12.3141
_cell_length_c 7.2798
_cell_angle_alpha 90.00
_cell_angle_beta 90.00
_cell_angle_gamma 90.00
_space_group_name_H-M_alt 'A m m 2'
_space_group_IT_number 38
_space_group_name_Hall 'A 2 -2'
loop_
_atom_site_label
_atom_site_type_symbol
_atom_site_fract_x
_atom_site_fract_y
_atom_site_fract_z
Er1 Er 0.0000 0.1944 0.0000
Sc1 Sc 0.0000 0.0000 0.5747
Al1 Al 0.5000 0.0000 0.9786
Al2 Al 0.5000 0.1141 0.3100
Cu1 Cu 0.0000 0.0000 0.2047
Sn1 Sn 0.5000 0.1599 0.6940
```